Nd3Ir: theoretical powder X-ray diffraction pattern (Cu Kα), based on the GGA-PBE geometry in OQMD.
Kinematic intensities with the Lorentz-polarization factor, no thermal factor.

Largest 8 diffraction maxima, in order of rising 2θ, 2θ from 10° to 80°:
2θ (°)  d_spacing  Rel. int.
30.25  2.955  48
30.44  2.936  55
31.31  2.857  100
32.85  2.727  100
33.28  2.692  74
35.14  2.554  40
36.60  2.455  51
55.89  1.645  47

Crystal structure
Lattice parameters (Å, degrees): 7.382 9.864 6.527 90.00 90.00 90.00
Space group Pnma (No. 62)
Unique sites:
Nd1 0.035 0.250 0.142 x4
Nd2 0.176 0.065 0.671 x8
Ir1 0.119 0.750 0.439 x4